The following is a computed X-ray powder pattern of Lu3Ni7B2. It was derived from a crystal structure in OQMD, relaxed with GGA-PBE, using copper Kα.
Peak positions follow from Bragg's law for the DFT cell and can differ from measured ones.

Peak list (10 most intense, 2θ from 10° to 90°, by angle)
two_theta  I/Imax
35.75  49
37.75  100
37.97  26
41.51  22
42.02  64
44.12  90
65.55  45
70.06  22
74.09  29
75.73  23

Crystal structure
Cell: 5.024 5.024 14.244 Å, 90.00 90.00 120.00°
Element x y z (fractional)
Lu: 0.333 0.667 0.032
Lu: 0.333 0.667 0.250
Lu: 0.333 0.667 0.468
Lu: 0.667 0.333 0.532
Lu: 0.667 0.333 0.750
Lu: 0.667 0.333 0.968
Ni: 0.000 0.000 0.000
Ni: 0.000 0.000 0.500
Ni: 0.166 0.332 0.648
Ni: 0.166 0.332 0.852
Ni: 0.166 0.834 0.648
Ni: 0.166 0.834 0.852
Ni: 0.332 0.166 0.148
Ni: 0.332 0.166 0.352
Ni: 0.668 0.834 0.648
Ni: 0.668 0.834 0.852
Ni: 0.834 0.166 0.148
Ni: 0.834 0.166 0.352
Ni: 0.834 0.668 0.148
Ni: 0.834 0.668 0.352
B: 0.000 0.000 0.250
B: 0.000 0.000 0.750
B: 0.333 0.667 0.750
B: 0.667 0.333 0.250

---

The following is a computed X-ray powder pattern of LuReNiB. It was derived from a crystal structure in OQMD, relaxed with GGA-PBE, using copper Kα.
Peak positions follow from Bragg's law for the DFT cell and can differ from measured ones.

Peak list (10 most intense, 2θ from 10° to 90°, by angle)
two_theta  I/Imax
25.60  5
29.65  57
42.42  100
50.21  2
52.61  16
61.55  17
67.78  1
69.79  21
77.61  34
83.31  1

Crystal structure
Cell: 4.262 4.262 4.262 Å, 60.00 60.00 60.00°
Element x y z (fractional)
Lu: 0.000 0.000 0.000
Re: 0.500 0.500 0.500
Ni: 0.250 0.250 0.250
B: 0.750 0.750 0.750

---

The following is a computed X-ray powder pattern of Lu2B2O5. It was derived from a crystal structure in OQMD, relaxed with GGA-PBE, using copper Kα.
Peak positions follow from Bragg's law for the DFT cell and can differ from measured ones.

Peak list (10 most intense, 2θ from 10° to 90°, by angle)
two_theta  I/Imax
26.23  43
26.58  100
37.68  97
37.94  40
46.71  76
54.73  26
61.15  23
61.68  18
61.85  20
68.36  35

Crystal structure
Cell: 3.354 3.354 6.796 Å, 90.00 90.00 90.00°
Element x y z (fractional)
Lu: 0.000 0.000 0.000
Lu: 0.000 0.000 0.500
B: 0.500 0.500 0.188
B: 0.500 0.500 0.812
O: 0.000 0.500 0.223
O: 0.000 0.500 0.777
O: 0.500 0.000 0.223
O: 0.500 0.000 0.777
O: 0.500 0.500 0.500